1.
# Rb2CuAuF6
Simulated powder diffractogram, Cu Kα. Input: a DFT-relaxed cell (GGA-PBE, the Materials Project).
Intensities are scaled so that the largest is 100.

abc: 8.635 8.635 8.635
angles: 90.00 90.00 90.00
Space group Fm-3m (No. 225)
Unique sites:
Rb  0.250  0.250  0.250 x8
Cu  0.000  0.000  0.000 x4
Au  0.000  0.000  0.500 x4
F  0.000  0.000  0.234 x24

Most intense lines, 2θ = 10–90°, by angle:
| d/Å | intensity | index |
| --- | --- | --- |
| 4.986 | 17.1 | 1 1 1 |
| 4.318 | 13.1 | 2 0 0 |
| 3.053 | 100.0 | 2 2 0 |
| 2.604 | 14.1 | 3 1 1 |
| 2.159 | 35.7 | 4 0 0 |
| 1.981 | 8.1 | 3 3 1 |
| 1.763 | 40.6 | 4 2 2 |
| 1.526 | 22.0 | 4 4 0 |
| 1.365 | 18.3 | 6 2 0 |
| 1.154 | 21.8 | 6 4 2 |

---

2.
# Cu4NiGe2S7
Simulated powder diffractogram, Cu Kα. Input: a DFT-relaxed cell (GGA-PBE, the Materials Project).
Intensities are scaled so that the largest is 100.

abc: 11.703 5.304 8.348
angles: 90.00 98.66 90.00
Space group C2 (No. 5)
Unique sites:
Cu  0.141  0.000  0.432 x4
Cu  0.210  0.486  0.139 x4
Ni  0.000  0.981  0.000 x2
Ge  0.075  0.474  0.721 x4
S  0.000  0.732  0.500 x2
S  0.069  0.228  0.208 x4
S  0.141  0.743  0.927 x4
S  0.219  0.241  0.646 x4

Most intense lines, 2θ = 10–90°, by angle:
| d/Å | intensity | index |
| --- | --- | --- |
| 3.043 | 100.0 | 1 1 2 |
| 2.643 | 3.9 | 2 0 -3 |
| 1.872 | 20.0 | 2 2 -3 |
| 1.859 | 38.9 | 6 0 -2 |
| 1.596 | 13.0 | 3 3 -1 |
| 1.593 | 13.2 | 5 1 -4 |
| 1.578 | 12.6 | 7 1 0 |
| 1.214 | 5.0 | 1 3 -5 |
| 1.207 | 4.8 | 5 3 3 |
| 1.206 | 4.9 | 9 1 -3 |

---

3.
# CuH10C2N2Cl4
Simulated powder diffractogram, Cu Kα. Input: a DFT-relaxed cell (GGA-PBE, the Materials Project).
Intensities are scaled so that the largest is 100.

abc: 8.256 7.454 7.221
angles: 90.00 90.33 90.00
Space group P2_1/c (No. 14)
Unique sites:
Cu  0.000  0.000  0.000 x2
H  0.181  0.052  0.429 x4
H  0.251  0.514  0.141 x4
H  0.261  0.656  0.961 x4
H  0.435  0.195  0.490 x4
H  0.445  0.043  0.299 x4
C  0.433  0.053  0.451 x4
N  0.272  0.521  0.999 x4
Cl  0.040  0.206  0.232 x4
Cl  0.279  0.542  0.470 x4

Most intense lines, 2θ = 10–90°, by angle:
| d/Å | intensity | index |
| --- | --- | --- |
| 8.256 | 100.0 | 1 0 0 |
| 5.186 | 49.6 | 0 1 1 |
| 4.391 | 76.4 | 1 1 1 |
| 3.727 | 27.6 | 0 2 0 |
| 3.611 | 28.2 | 0 0 2 |
| 2.752 | 20.2 | 3 0 0 |
| 2.593 | 66.6 | 0 2 2 |
| 2.473 | 27.9 | 1 2 2 |
| 2.435 | 21.3 | 3 1 -1 |
| 1.805 | 14.9 | 0 0 4 |